Calculated powder X-ray diffraction pattern of NdPb8F19 for copper Kα, from a DFT-relaxed cell (PBE, Alexandria).
Intensities are scaled so that the largest is 100.

Structural model:
Lattice parameters (Å, degrees): 4.2082 4.2082 33.0363 90.06 90.06 59.99
Positions (direct):
Nd 0.0000 0.0000 0.0000
Pb 0.0048 0.0048 0.3218
Pb 0.0046 0.0046 0.8601
Pb 0.0069 0.0069 0.6438
Pb 0.3350 0.3350 0.1076
Pb 0.3393 0.3393 0.4291
Pb 0.3398 0.3398 0.7509
Pb 0.6697 0.6697 0.2142
Pb 0.6734 0.6734 0.5365
F 0.0012 0.0012 0.0742
F 0.0030 0.0030 0.2332
F 0.0035 0.0035 0.9349
F 0.0056 0.0056 0.3944
F 0.0067 0.0067 0.5557
F 0.0069 0.0069 0.7162
F 0.3335 0.3335 0.9958
F 0.3356 0.3356 0.1791
F 0.3382 0.3382 0.3412
F 0.3390 0.3390 0.8249
F 0.3398 0.3398 0.5017
F 0.3402 0.3402 0.6636
F 0.6669 0.6669 0.0180
F 0.6683 0.6683 0.1285
F 0.6709 0.6709 0.2871
F 0.6718 0.6718 0.8788
F 0.6726 0.6726 0.4484
F 0.6735 0.6735 0.6092
F 0.6734 0.6734 0.7686

Most intense lines, 2θ from 10° to 80°, sorted by position:
- 2θ = 24.25°, d 3.671, I 43
- 2θ = 25.75°, d 3.460, I 100
- 2θ = 29.39°, d 3.039, I 58
- 2θ = 41.09°, d 2.197, I 23
- 2θ = 42.99°, d 2.104, I 57
- 2θ = 43.41°, d 2.085, I 26
- 2θ = 49.96°, d 1.825, I 38
- 2θ = 50.80°, d 1.797, I 25